Structure and calculated powder diffractogram of Pa3Ni8Ru (a cell relaxed with PBE; λ = 1.5418 Å (Cu Kα)).
Lines closer than 0.1° are merged.

Main lines, in order of rising 2θ (5° ≤ 2θ ≤ 70°):
| 2θ (°) | intensity |
| --- | --- |
| 22.01 | 46.8 |
| 35.85 | 71.3 |
| 36.42 | 87.4 |
| 42.21 | 57.0 |
| 42.71 | 100.0 |
| 42.96 | 62.0 |
| 44.88 | 25.6 |
| 65.16 | 25.8 |

Crystal structure
Cell lengths 8.723, 8.723, 8.723 Å; angles 32.86, 32.86, 32.86 degrees
Element x y z (fractional)
1 Pa 0.000 0.000 0.000
2 Pa 0.131 0.131 0.131
3 Pa 0.524 0.524 0.524
4 Ni 0.071 0.572 0.572
5 Ni 0.074 0.074 0.568
6 Ni 0.074 0.568 0.074
7 Ni 0.323 0.323 0.323
8 Ni 0.568 0.074 0.074
9 Ni 0.572 0.071 0.572
10 Ni 0.572 0.572 0.071
11 Ni 0.821 0.821 0.821
12 Ru 0.638 0.638 0.638